Structure and theoretical XRD peak list of BeAsIr2 (a cell relaxed with GGA-PBE; copper Kα).
No peak broadening, texture or thermal motion is included.

Cell and atoms:
Unit cell a=2.817 b=4.795 c=8.422 alpha=90.00 beta=90.00 gamma=90.00
Fractional positions:
Be: 0.000 0.000 0.000
Be: 0.500 0.500 0.000
As: 0.000 0.500 0.747
As: 0.500 0.000 0.747
Ir: 0.000 0.000 0.491
Ir: 0.000 0.500 0.204
Ir: 0.500 0.000 0.204
Ir: 0.500 0.500 0.491

The 8 most intense peaks (5° ≤ 2θ ≤ 70°), most intense first:
Position (°2θ)  Rel. int.
43.0  100
10.5  86
38.6  36
37.5  32
31.9  24
67.7  15
58.3  14
50.0  14

***

Structure and theoretical XRD peak list of Sm3ErPb2C (a cell relaxed with GGA-PBE; copper Kα).
No peak broadening, texture or thermal motion is included.

Cell and atoms:
Unit cell a=4.825 b=4.946 c=16.468 alpha=90.00 beta=90.00 gamma=90.00
Fractional positions:
Sm: 0.000 0.000 0.000
Sm: 0.000 0.500 0.159
Sm: 0.000 0.500 0.841
Sm: 0.500 0.000 0.341
Sm: 0.500 0.000 0.659
Sm: 0.500 0.500 0.500
Er: 0.000 0.000 0.500
Er: 0.500 0.500 0.000
Pb: 0.000 0.500 0.360
Pb: 0.000 0.500 0.640
Pb: 0.500 0.000 0.140
Pb: 0.500 0.000 0.860
C: 0.000 0.500 0.000
C: 0.500 0.000 0.500

The 8 most intense peaks (5° ≤ 2θ ≤ 70°), most intense first:
Position (°2θ)  Rel. int.
33.9  100
28.0  54
32.6  29
36.3  29
37.3  27
25.8  21
53.0  19
62.5  18

***

Structure and theoretical XRD peak list of Ca2ZnIn8 (a cell relaxed with GGA-PBE; copper Kα).
No peak broadening, texture or thermal motion is included.

Cell and atoms:
Unit cell a=4.917 b=4.917 c=11.907 alpha=90.00 beta=90.00 gamma=90.00
Fractional positions:
Ca: 0.000 0.000 0.188
Ca: 0.000 0.000 0.812
Zn: 0.000 0.000 0.500
In: 0.000 0.500 0.000
In: 0.000 0.500 0.371
In: 0.000 0.500 0.629
In: 0.500 0.000 0.000
In: 0.500 0.000 0.371
In: 0.500 0.000 0.629
In: 0.500 0.500 0.198
In: 0.500 0.500 0.802

The 8 most intense peaks (5° ≤ 2θ ≤ 70°), most intense first:
Position (°2θ)  Rel. int.
34.3  100
36.6  58
64.3  30
29.8  25
52.7  19
53.6  18
37.8  13
68.6  12

***

Structure and theoretical XRD peak list of NaTl2SnAs2 (a cell relaxed with GGA-PBE; copper Kα).
No peak broadening, texture or thermal motion is included.

Cell and atoms:
Unit cell a=5.120 b=9.196 c=7.012 alpha=90.00 beta=90.00 gamma=90.00
Fractional positions:
Na: 0.000 0.038 0.000
Na: 0.000 0.962 0.500
Tl: 0.000 0.342 0.308
Tl: 0.000 0.658 0.808
Tl: 0.500 0.412 0.999
Tl: 0.500 0.588 0.499
Sn: 0.500 0.165 0.649
Sn: 0.500 0.835 0.149
As: 0.000 0.283 0.730
As: 0.000 0.717 0.230
As: 0.500 0.124 0.257
As: 0.500 0.876 0.757

The 8 most intense peaks (5° ≤ 2θ ≤ 70°), most intense first:
Position (°2θ)  Rel. int.
29.0  100
32.4  79
35.1  60
9.6  55
34.1  46
30.9  44
59.2  38
23.1  33

***

Structure and theoretical XRD peak list of Li5In2Pb6 (a cell relaxed with GGA-PBE; copper Kα).
No peak broadening, texture or thermal motion is included.

Cell and atoms:
Unit cell a=10.583 b=18.189 c=3.397 alpha=90.00 beta=90.00 gamma=90.00
Fractional positions:
Li: 0.000 0.000 0.000
Li: 0.086 0.257 0.000
Li: 0.190 0.530 0.000
Li: 0.310 0.030 0.000
Li: 0.414 0.757 0.000
Li: 0.500 0.500 0.000
Li: 0.586 0.243 0.000
Li: 0.690 0.970 0.000
Li: 0.810 0.470 0.000
Li: 0.914 0.743 0.000
In: 0.162 0.724 0.500
In: 0.338 0.224 0.500
In: 0.662 0.776 0.500
In: 0.838 0.276 0.500
Pb: 0.035 0.406 0.500
Pb: 0.111 0.116 0.500
Pb: 0.182 0.874 0.000
Pb: 0.318 0.374 0.000
Pb: 0.389 0.616 0.500
Pb: 0.465 0.906 0.500
Pb: 0.535 0.094 0.500
Pb: 0.611 0.384 0.500
Pb: 0.682 0.626 0.000
Pb: 0.818 0.126 0.000
Pb: 0.889 0.884 0.500
Pb: 0.965 0.594 0.500

The 8 most intense peaks (5° ≤ 2θ ≤ 70°), most intense first:
Position (°2θ)  Rel. int.
34.7  100
19.5  97
29.3  84
37.1  65
25.7  54
35.4  52
22.3  38
34.3  36

***

Structure and theoretical XRD peak list of K4PuU3Se8 (a cell relaxed with GGA-PBE; copper Kα).
No peak broadening, texture or thermal motion is included.

Cell and atoms:
Unit cell a=9.143 b=9.143 c=9.143 alpha=55.20 beta=55.20 gamma=55.20
Fractional positions:
K: 0.000 0.000 0.000
K: 0.000 0.500 0.500
K: 0.500 0.000 0.500
K: 0.500 0.500 0.000
Pu: 0.500 0.500 0.500
U: 0.000 0.000 0.500
U: 0.000 0.500 0.000
U: 0.500 0.000 0.000
Se: 0.231 0.738 0.738
Se: 0.236 0.236 0.236
Se: 0.262 0.262 0.769
Se: 0.262 0.769 0.262
Se: 0.738 0.231 0.738
Se: 0.738 0.738 0.231
Se: 0.764 0.764 0.764
Se: 0.769 0.262 0.262

The 8 most intense peaks (5° ≤ 2θ ≤ 70°), most intense first:
Position (°2θ)  Rel. int.
28.8  100
11.5  79
39.6  37
42.7  36
24.6  24
36.6  24
69.8  20
44.4  19

***

Structure and theoretical XRD peak list of Y5HoAl6 (a cell relaxed with GGA-PBE; copper Kα).
No peak broadening, texture or thermal motion is included.

Cell and atoms:
Unit cell a=5.088 b=7.218 c=8.042 alpha=90.00 beta=108.25 gamma=90.00
Fractional positions:
Y: 0.000 0.000 0.000
Y: 0.333 0.000 0.666
Y: 0.334 0.500 0.667
Y: 0.666 0.500 0.333
Y: 0.667 0.000 0.334
Ho: 0.000 0.500 0.000
Al: 0.166 0.251 0.333
Al: 0.166 0.749 0.333
Al: 0.500 0.251 0.000
Al: 0.500 0.749 0.000
Al: 0.834 0.251 0.667
Al: 0.834 0.749 0.667

The 8 most intense peaks (5° ≤ 2θ ≤ 70°), most intense first:
Position (°2θ)  Rel. int.
35.2  100
24.7  29
63.2  24
24.8  14
43.5  12
63.3  12
50.6  12
57.1  10

***

Structure and theoretical XRD peak list of KAgRh2 (a cell relaxed with GGA-PBE; copper Kα).
No peak broadening, texture or thermal motion is included.

Cell and atoms:
Unit cell a=8.635 b=2.814 c=7.219 alpha=90.00 beta=95.06 gamma=90.00
Fractional positions:
K: 0.000 0.000 0.000
K: 0.500 0.500 0.000
Ag: 0.267 0.500 0.332
Ag: 0.767 0.000 0.332
Rh: 0.002 0.500 0.558
Rh: 0.241 0.000 0.667
Rh: 0.502 0.000 0.558
Rh: 0.741 0.500 0.667

The 8 most intense peaks (5° ≤ 2θ ≤ 70°), most intense first:
Position (°2θ)  Rel. int.
12.3  100
36.2  54
46.2  31
31.0  29
42.0  21
42.7  20
41.5  19
33.9  14